Computed powder XRD pattern of Sr2Ga3Ag4Sn for CuKα, from a crystal structure in Alexandria, relaxed with PBE.
No peak broadening, texture or thermal motion is included.

Structure:
```
data_Sr2Ga3Ag4Sn
_symmetry_space_group_name_H-M 'P -4 m 2'
_symmetry_Int_Tables_number 115
_symmetry_space_group_name_Hall 'P -4 -2'
_cell_length_a 4.565
_cell_length_b 4.565
_cell_length_c 11.218
_cell_angle_alpha 90.00
_cell_angle_beta 90.00
_cell_angle_gamma 90.00
loop_
_atom_site_label
_atom_site_fract_x
_atom_site_fract_y
_atom_site_fract_z
Sr1 0.000 0.500 0.242
Ga1 0.000 0.500 0.879
Ga2 0.500 0.500 0.500
Ag1 0.000 0.000 0.000
Ag2 0.000 0.500 0.647
Ag3 0.500 0.500 0.000
Sn1 0.000 0.000 0.500
```

Principal peaks in the range 2θ = 10–90°, low angle first:
- 30.9 deg, d = 2.893 Å, rel. 346
- 32.0 deg, d = 2.798 Å, rel. 1000
- 39.5 deg, d = 2.283 Å, rel. 600
- 42.7 deg, d = 2.117 Å, rel. 387
- 45.0 deg, d = 2.014 Å, rel. 206
- 51.0 deg, d = 1.792 Å, rel. 166
- 57.1 deg, d = 1.614 Å, rel. 198
- 61.4 deg, d = 1.510 Å, rel. 162
- 66.9 deg, d = 1.398 Å, rel. 238
- 73.8 deg, d = 1.284 Å, rel. 130

=====

Computed powder XRD pattern of ZnGa2Ag7Sn2 for CuKα, from a crystal structure in Alexandria, relaxed with PBE.
No peak broadening, texture or thermal motion is included.

Structure:
```
data_ZnGa2Ag7Sn2
_symmetry_space_group_name_H-M 'C 1 2/m 1'
_symmetry_Int_Tables_number 12
_symmetry_space_group_name_Hall '-C 2y'
_cell_length_a 5.897
_cell_length_b 5.926
_cell_length_c 13.285
_cell_angle_alpha 90.00
_cell_angle_beta 91.63
_cell_angle_gamma 90.00
loop_
_atom_site_label
_atom_site_fract_x
_atom_site_fract_y
_atom_site_fract_z
Zn1 0.000 0.000 0.000
Ga1 0.001 0.500 0.685
Ag1 0.000 0.500 0.000
Ag2 0.241 0.500 0.498
Ag3 0.242 0.251 0.849
Sn1 0.002 0.000 0.316
```

Principal peaks in the range 2θ = 10–90°, low angle first:
- 30.9 deg, d = 2.892 Å, rel. 405
- 36.1 deg, d = 2.486 Å, rel. 887
- 36.5 deg, d = 2.462 Å, rel. 700
- 37.1 deg, d = 2.422 Å, rel. 859
- 40.8 deg, d = 2.212 Å, rel. 1000
- 43.3 deg, d = 2.090 Å, rel. 477
- 43.7 deg, d = 2.071 Å, rel. 218
- 74.5 deg, d = 1.273 Å, rel. 285
- 75.2 deg, d = 1.264 Å, rel. 206
- 79.0 deg, d = 1.211 Å, rel. 214

=====

Computed powder XRD pattern of Sr2Ga4Ag5 for CuKα, from a crystal structure in Alexandria, relaxed with PBE.
No peak broadening, texture or thermal motion is included.

Structure:
```
data_Sr2Ga4Ag5
_symmetry_space_group_name_H-M 'F m m m'
_symmetry_Int_Tables_number 69
_symmetry_space_group_name_Hall '-F 2 2'
_cell_length_a 6.052
_cell_length_b 10.095
_cell_length_c 16.253
_cell_angle_alpha 90.00
_cell_angle_beta 90.00
_cell_angle_gamma 90.00
loop_
_atom_site_label
_atom_site_fract_x
_atom_site_fract_y
_atom_site_fract_z
Sr1 0.000 0.000 0.140
Ga1 0.000 0.150 0.369
Ag1 0.000 0.000 0.500
Ag2 0.250 0.250 0.000
Ag3 0.250 0.250 0.250
```

Principal peaks in the range 2θ = 10–90°, low angle first:
- 17.6 deg, d = 5.048 Å, rel. 329
- 28.2 deg, d = 3.165 Å, rel. 567
- 34.6 deg, d = 2.595 Å, rel. 813
- 34.7 deg, d = 2.585 Å, rel. 902
- 37.0 deg, d = 2.427 Å, rel. 1000
- 41.3 deg, d = 2.187 Å, rel. 551
- 42.2 deg, d = 2.144 Å, rel. 439
- 44.6 deg, d = 2.032 Å, rel. 438
- 57.6 deg, d = 1.600 Å, rel. 307
- 63.2 deg, d = 1.470 Å, rel. 299

=====

Computed powder XRD pattern of Sr3GaAg for CuKα, from a crystal structure in Alexandria, relaxed with PBE.
No peak broadening, texture or thermal motion is included.

Structure:
```
data_Sr3GaAg
_symmetry_space_group_name_H-M 'P -1'
_symmetry_Int_Tables_number 2
_symmetry_space_group_name_Hall '-P 1'
_cell_length_a 4.553
_cell_length_b 8.974
_cell_length_c 9.189
_cell_angle_alpha 90.80
_cell_angle_beta 90.01
_cell_angle_gamma 104.56
loop_
_atom_site_label
_atom_site_fract_x
_atom_site_fract_y
_atom_site_fract_z
Sr1 0.060 0.121 0.314
Sr2 0.230 0.459 0.685
Sr3 0.395 0.793 0.067
Ga1 0.215 0.429 0.063
Ag1 0.420 0.841 0.429
```

Principal peaks in the range 2θ = 10–90°, low angle first:
- 13.9 deg, d = 6.358 Å, rel. 540
- 26.6 deg, d = 3.345 Å, rel. 746
- 26.8 deg, d = 3.325 Å, rel. 830
- 28.1 deg, d = 3.174 Å, rel. 1000
- 30.9 deg, d = 2.897 Å, rel. 883
- 31.6 deg, d = 2.836 Å, rel. 482
- 32.4 deg, d = 2.766 Å, rel. 485
- 35.6 deg, d = 2.519 Å, rel. 791
- 39.6 deg, d = 2.277 Å, rel. 639
- 51.1 deg, d = 1.786 Å, rel. 538

=====

Computed powder XRD pattern of SrGa8Ag2 for CuKα, from a crystal structure in Alexandria, relaxed with PBE.
No peak broadening, texture or thermal motion is included.

Structure:
```
data_SrGa8Ag2
_symmetry_space_group_name_H-M 'P 4/m m m'
_symmetry_Int_Tables_number 123
_symmetry_space_group_name_Hall '-P 4 2'
_cell_length_a 5.352
_cell_length_b 5.352
_cell_length_c 9.671
_cell_angle_alpha 90.00
_cell_angle_beta 90.00
_cell_angle_gamma 90.00
loop_
_atom_site_label
_atom_site_fract_x
_atom_site_fract_y
_atom_site_fract_z
Sr1 0.000 0.000 0.000
Ga1 0.252 0.252 0.282
Ag1 0.000 0.500 0.500
```

Principal peaks in the range 2θ = 10–90°, low angle first:
- 18.3 deg, d = 4.835 Å, rel. 115
- 25.3 deg, d = 3.524 Å, rel. 412
- 36.6 deg, d = 2.454 Å, rel. 155
- 37.2 deg, d = 2.418 Å, rel. 194
- 38.4 deg, d = 2.341 Å, rel. 1000
- 44.0 deg, d = 2.059 Å, rel. 207
- 48.1 deg, d = 1.892 Å, rel. 288
- 62.3 deg, d = 1.490 Å, rel. 163
- 70.4 deg, d = 1.338 Å, rel. 93
- 83.2 deg, d = 1.162 Å, rel. 200

=====

Computed powder XRD pattern of Sr4GaAg for CuKα, from a crystal structure in Alexandria, relaxed with PBE.
No peak broadening, texture or thermal motion is included.

Structure:
```
data_Sr4GaAg
_symmetry_space_group_name_H-M 'C 1 2/c 1'
_symmetry_Int_Tables_number 15
_symmetry_space_group_name_Hall '-C 2yc'
_cell_length_a 10.308
_cell_length_b 15.152
_cell_length_c 7.363
_cell_angle_alpha 90.00
_cell_angle_beta 124.72
_cell_angle_gamma 90.00
loop_
_atom_site_label
_atom_site_fract_x
_atom_site_fract_y
_atom_site_fract_z
Sr1 0.131 0.184 0.098
Sr2 0.193 0.442 0.257
Ga1 0.000 0.365 0.750
Ag1 0.000 0.003 0.250
```

Principal peaks in the range 2θ = 10–90°, low angle first:
- 11.7 deg, d = 7.576 Å, rel. 615
- 26.8 deg, d = 3.326 Å, rel. 933
- 27.8 deg, d = 3.211 Å, rel. 1000
- 29.4 deg, d = 3.039 Å, rel. 752
- 30.7 deg, d = 2.912 Å, rel. 800
- 31.3 deg, d = 2.853 Å, rel. 624
- 31.8 deg, d = 2.810 Å, rel. 646
- 33.6 deg, d = 2.668 Å, rel. 681
- 34.1 deg, d = 2.627 Å, rel. 512
- 36.4 deg, d = 2.465 Å, rel. 837

=====

Question: Which formula does entry 2 have?
Answer: ZnGa2Ag7Sn2